This entry pairs a crystal structure of KVAsCl6 with its simulated PXRD pattern. Radiation: Cu Kα X-rays. Structure: DFT lattice parameters and positions (GGA-PBE).
Peak positions follow from Bragg's law for the DFT cell and can differ from measured ones.

Atomic structure:
a = 6.5579 Å, b = 6.5579 Å, c = 6.9564 Å
α = 90.00°, β = 90.00°, γ = 120.00°
Positions (direct):
K: 0.0000 0.0000 0.0000
V: 0.3333 0.6667 0.5000
As: 0.6667 0.3333 0.5000
Cl: 0.0069 0.3753 0.7029
Cl: 0.0069 0.6316 0.2971
Cl: 0.3684 0.3753 0.2971
Cl: 0.3684 0.9931 0.7029
Cl: 0.6247 0.6316 0.7029
Cl: 0.6247 0.9931 0.2971

The 10 most intense peaks (10 to 90 degrees two-theta), sorted by position:
6.956 Å, 2θ = 12.73°, I 82; 5.679 Å, 2θ = 15.60°, I 19; 4.399 Å, 2θ = 20.18°, I 97; 2.966 Å, 2θ = 30.13°, I 85; 2.386 Å, 2θ = 37.70°, I 100; 2.051 Å, 2θ = 44.15°, I 27; 1.893 Å, 2θ = 48.06°, I 63; 1.536 Å, 2θ = 60.24°, I 27; 1.483 Å, 2θ = 62.64°, I 17; 1.167 Å, 2θ = 82.65°, I 19


This entry pairs a crystal structure of CsSrCuF6 with its simulated PXRD pattern. Radiation: Cu Kα X-rays. Structure: DFT lattice parameters and positions (GGA-PBE).
Peak positions follow from Bragg's law for the DFT cell and can differ from measured ones.

Atomic structure:
a = 7.5948 Å, b = 7.5948 Å, c = 7.5948 Å
α = 117.85°, β = 115.61°, γ = 95.77°
Positions (direct):
Cs: 0.3468 0.0968 0.2500
Cs: 0.6532 0.9032 0.7500
Sr: 0.0000 0.5000 0.5000
Sr: 0.5000 0.5000 0.0000
Cu: 0.0000 0.0000 0.5000
Cu: 0.0000 0.5000 0.0000
F: 0.0357 0.3469 0.1420
F: 0.0357 0.8937 0.6888
F: 0.0521 0.3021 0.7500
F: 0.2951 0.1063 0.6420
F: 0.2951 0.6531 0.1888
F: 0.3695 0.6195 0.7500
F: 0.6305 0.3805 0.2500
F: 0.7049 0.3469 0.8112
F: 0.7049 0.8937 0.3580
F: 0.9479 0.6979 0.2500
F: 0.9643 0.1063 0.3112
F: 0.9643 0.6531 0.8580

The 10 most intense peaks (10 to 90 degrees two-theta), sorted by position:
3.777 Å, 2θ = 23.55°, I 53; 3.391 Å, 2θ = 26.28°, I 100; 3.334 Å, 2θ = 26.74°, I 92; 3.168 Å, 2θ = 28.17°, I 25; 3.131 Å, 2θ = 28.51°, I 52; 3.109 Å, 2θ = 28.72°, I 61; 2.146 Å, 2θ = 42.11°, I 34; 2.112 Å, 2θ = 42.81°, I 36; 1.960 Å, 2θ = 46.32°, I 27; 1.889 Å, 2θ = 48.18°, I 60